The following is a computed powder diffractogram of TcAsP2. It was derived from a structure optimized by DFT (PBE), using a wavelength of 1.5418 Å.
No peak broadening, texture or thermal motion is included.

Structural model:
Lattice parameters (Å, degrees): 4.247 4.247 5.964 96.97 96.97 42.92
Sites, in units of the cell vectors:
Tc  0.000  0.000  0.000
As  0.724  0.724  0.270
P  0.276  0.276  0.902
P  0.454  0.454  0.666

The 12 most intense peaks (5° ≤ 2θ ≤ 70°), by angle:
2θ (°)  d [Å]  I/Imax
14.98  5.913  98
25.58  3.482  48
28.93  3.086  13
35.22  2.548  100
35.57  2.524  27
40.55  2.225  20
42.69  2.118  30
44.91  2.018  21
45.35  2.000  22
46.05  1.971  16
46.34  1.959  20
46.46  1.955  38

***

The following is a computed powder diffractogram of Th4Al3ZnCu12. It was derived from a structure optimized by DFT (PBE), using a wavelength of 1.5418 Å.
No peak broadening, texture or thermal motion is included.

Structural model:
Lattice parameters (Å, degrees): 7.883 7.883 7.883 109.47 109.47 109.47
Sites, in units of the cell vectors:
Th  0.000  0.000  0.500
Th  0.000  0.500  0.000
Th  0.500  0.000  0.000
Th  0.500  0.500  0.500
Al  0.000  0.500  0.500
Al  0.500  0.000  0.500
Al  0.500  0.500  0.000
Zn  0.000  0.000  0.000
Cu  0.000  0.250  0.250
Cu  0.000  0.750  0.750
Cu  0.250  0.000  0.250
Cu  0.250  0.250  0.000
Cu  0.250  0.500  0.750
Cu  0.250  0.750  0.500
Cu  0.500  0.250  0.750
Cu  0.500  0.750  0.250
Cu  0.750  0.000  0.750
Cu  0.750  0.250  0.500
Cu  0.750  0.500  0.250
Cu  0.750  0.750  0.000

The 12 most intense peaks (5° ≤ 2θ ≤ 70°), by angle:
2θ (°)  d [Å]  I/Imax
13.76  6.437  1
19.50  4.551  24
23.95  3.716  1
27.72  3.218  60
34.12  2.628  100
39.60  2.276  71
44.51  2.035  13
49.03  1.858  27
57.25  1.609  47
61.08  1.517  7
64.77  1.439  12
68.36  1.372  38

***

The following is a computed powder diffractogram of NdEuTiNbO6. It was derived from a structure optimized by DFT (PBE), using a wavelength of 1.5418 Å.
No peak broadening, texture or thermal motion is included.

Structural model:
Lattice parameters (Å, degrees): 5.667 5.667 5.667 60.00 60.00 60.00
Sites, in units of the cell vectors:
Nd  0.000  0.000  0.000
Eu  0.500  0.500  0.500
Ti  0.750  0.750  0.750
Nb  0.250  0.250  0.250
O  0.504  0.504  0.996
O  0.504  0.996  0.504
O  0.504  0.996  0.996
O  0.996  0.504  0.504
O  0.996  0.504  0.996
O  0.996  0.996  0.504

The 12 most intense peaks (5° ≤ 2θ ≤ 70°), by angle:
2θ (°)  d [Å]  I/Imax
19.18  4.627  3
22.18  4.007  9
31.57  2.834  100
37.21  2.417  2
38.93  2.314  15
45.26  2.004  31
49.58  1.839  1
50.95  1.792  5
56.23  1.636  39
59.97  1.542  1
65.93  1.417  19
69.37  1.355  1

***

The following is a computed powder diffractogram of Tb5SmY7. It was derived from a structure optimized by DFT (PBE), using a wavelength of 1.5418 Å.
No peak broadening, texture or thermal motion is included.

Structural model:
Lattice parameters (Å, degrees): 8.730 8.730 8.730 134.88 100.58 96.36
Sites, in units of the cell vectors:
Tb  0.000  0.000  0.000
Tb  0.264  0.225  0.503
Tb  0.264  0.761  0.040
Tb  0.722  0.225  0.960
Tb  0.722  0.761  0.497
Sm  0.688  0.188  0.500
Y  0.074  0.246  0.828
Y  0.300  0.800  0.500
Y  0.417  0.246  0.172
Y  0.494  0.494  0.000
Y  0.577  0.745  0.832
Y  0.914  0.745  0.168
Y  0.991  0.491  0.500

The 12 most intense peaks (5° ≤ 2θ ≤ 70°), by angle:
2θ (°)  d [Å]  I/Imax
15.23  5.818  35
30.75  2.907  100
31.14  2.872  68
31.52  2.838  62
32.09  2.789  26
34.83  2.576  87
35.70  2.515  32
44.32  2.044  31
54.81  1.675  27
56.62  1.626  22
57.31  1.608  33
65.79  1.420  23